Starting from a structure optimized by DFT (PBE), the powder X-ray diffraction pattern of P6Pb4Se was simulated for λ = 1.5418 Å (Cu Kα).
Intensities are scaled so that the largest is 100.

Peak list (8 most intense, 2θ from 10° to 80°, in order of falling intensity)
2θ/deg	intensity
19.71	100
30.28	75
27.16	65
33.99	50
44.04	47
38.66	42
26.98	31
30.57	30

```
data_P6Pb4Se
_cell_length_a 3.429
_cell_length_b 13.134
_cell_length_c 12.381
_cell_angle_alpha 90.00
_cell_angle_beta 90.00
_cell_angle_gamma 90.00
_space_group_name_H-M_alt 'I m m 2'
_space_group_IT_number 44
loop_
_space_group_symop_operation_xyz
'x,y,z'
'-x,-y,z'
'-x,y,z'
'x,-y,z'
'x+1/2,y+1/2,z+1/2'
'-x+1/2,-y+1/2,z+1/2'
'-x+1/2,y+1/2,z+1/2'
'x+1/2,-y+1/2,z+1/2'
loop_
_atom_site_label
_atom_site_fract_x
_atom_site_fract_y
_atom_site_fract_z
_atom_site_occupancy
P1 0.000 0.082 0.000 1
P2 0.000 0.269 0.274 1
P3 0.000 0.321 0.838 1
Pb1 0.000 0.000 0.209 1
Pb2 0.000 0.241 0.552 1
Pb3 0.000 0.500 0.303 1
Se1 0.000 0.000 0.607 1
```



Starting from a structure optimized by DFT (PBE), the powder X-ray diffraction pattern of Th4PPbSe2 was simulated for λ = 1.5418 Å (Cu Kα).
Intensities are scaled so that the largest is 100.

Peak list (8 most intense, 2θ from 10° to 80°, in order of falling intensity)
2θ/deg	intensity
29.37	100
42.37	26
41.64	24
25.33	14
52.02	14
41.96	13
69.57	12
42.13	12

```
data_Th4PPbSe2
_cell_length_a 7.367
_cell_length_b 4.307
_cell_length_c 7.532
_cell_angle_alpha 90.00
_cell_angle_beta 109.67
_cell_angle_gamma 90.00
_space_group_name_H-M_alt 'P 1 2/m 1'
_space_group_IT_number 10
loop_
_space_group_symop_operation_xyz
'x,y,z'
'-x,-y,-z'
'-x,y,-z'
'x,-y,z'
loop_
_atom_site_label
_atom_site_fract_x
_atom_site_fract_y
_atom_site_fract_z
_atom_site_occupancy
Th1 0.239 0.000 0.224 1
Th2 0.255 0.500 0.777 1
P1 0.000 0.500 0.000 1
Pb1 0.000 0.000 0.500 1
Se1 0.500 0.000 0.000 1
Se2 0.500 0.500 0.500 1
```



Starting from a structure optimized by DFT (PBE), the powder X-ray diffraction pattern of Si2P3Pb2 was simulated for λ = 1.5418 Å (Cu Kα).
Intensities are scaled so that the largest is 100.

Peak list (8 most intense, 2θ from 10° to 80°, in order of falling intensity)
2θ/deg	intensity
30.82	100
19.29	94
35.15	94
35.54	88
27.94	88
14.41	85
47.71	73
25.99	69

```
data_Si2P3Pb2
_cell_length_a 7.153
_cell_length_b 12.023
_cell_length_c 3.737
_cell_angle_alpha 90.00
_cell_angle_beta 90.00
_cell_angle_gamma 90.00
_space_group_name_H-M_alt 'P b a m'
_space_group_IT_number 55
loop_
_space_group_symop_operation_xyz
'x,y,z'
'-x,-y,-z'
'-x,-y,z'
'x,y,-z'
'x+1/2,-y+1/2,-z'
'-x+1/2,y+1/2,z'
'-x+1/2,y+1/2,-z'
'x+1/2,-y+1/2,z'
loop_
_atom_site_label
_atom_site_fract_x
_atom_site_fract_y
_atom_site_fract_z
_atom_site_occupancy
Si1 0.052 0.128 0.000 1
P1 0.000 0.000 0.500 1
P2 0.176 0.736 0.000 1
Pb1 0.103 0.370 0.500 1
```



Starting from a structure optimized by DFT (PBE), the powder X-ray diffraction pattern of SnP2Pb was simulated for λ = 1.5418 Å (Cu Kα).
Intensities are scaled so that the largest is 100.

Peak list (8 most intense, 2θ from 10° to 80°, in order of falling intensity)
2θ/deg	intensity
26.37	100
45.59	47
25.59	34
47.01	28
36.51	28
73.17	15
72.10	12
74.95	11

```
data_SnP2Pb
_cell_length_a 6.962
_cell_length_b 6.962
_cell_length_c 9.297
_cell_angle_alpha 90.00
_cell_angle_beta 90.00
_cell_angle_gamma 90.00
_space_group_name_H-M_alt 'I -4 2 d'
_space_group_IT_number 122
_space_group_name_Hall 'I -4 2bw'
loop_
_atom_site_label
_atom_site_fract_x
_atom_site_fract_y
_atom_site_fract_z
_atom_site_occupancy
Sn1 0.000 0.000 0.000 1
P1 0.206 0.250 0.125 1
Pb1 0.000 0.000 0.500 1
```



Starting from a structure optimized by DFT (PBE), the powder X-ray diffraction pattern of SrP6Pb was simulated for λ = 1.5418 Å (Cu Kα).
Intensities are scaled so that the largest is 100.

Peak list (8 most intense, 2θ from 10° to 80°, in order of falling intensity)
2θ/deg	intensity
20.13	100
35.75	80
20.98	67
37.25	42
31.01	39
28.62	34
46.42	32
15.36	29

```
data_SrP6Pb
_cell_length_a 6.239
_cell_length_b 6.239
_cell_length_c 11.534
_cell_angle_alpha 90.00
_cell_angle_beta 90.00
_cell_angle_gamma 90.00
_space_group_name_H-M_alt 'P 42/m m c'
_space_group_IT_number 131
_space_group_name_Hall '-P 4c 2'
loop_
_atom_site_label
_atom_site_fract_x
_atom_site_fract_y
_atom_site_fract_z
_atom_site_occupancy
Sr1 0.000 0.000 0.000 1
P1 0.000 0.500 0.000 1
P2 0.172 0.172 0.250 1
P3 0.500 0.500 0.000 1
Pb1 0.500 0.500 0.250 1
```



Starting from a structure optimized by DFT (PBE), the powder X-ray diffraction pattern of Sr8PPb2 was simulated for λ = 1.5418 Å (Cu Kα).
Intensities are scaled so that the largest is 100.

Peak list (8 most intense, 2θ from 10° to 80°, in order of falling intensity)
2θ/deg	intensity
26.94	100
32.25	68
29.42	54
34.01	51
32.70	50
30.34	48
25.46	28
28.57	26

```
data_Sr8PPb2
_cell_length_a 21.246
_cell_length_b 5.551
_cell_length_c 7.576
_cell_angle_alpha 90.00
_cell_angle_beta 104.00
_cell_angle_gamma 90.00
_space_group_name_H-M_alt 'C 1 2/m 1'
_space_group_IT_number 12
loop_
_space_group_symop_operation_xyz
'x,y,z'
'-x,-y,-z'
'-x,y,-z'
'x,-y,z'
'x+1/2,y+1/2,z'
'-x+1/2,-y+1/2,-z'
'-x+1/2,y+1/2,-z'
'x+1/2,-y+1/2,z'
loop_
_atom_site_label
_atom_site_fract_x
_atom_site_fract_y
_atom_site_fract_z
_atom_site_occupancy
Sr1 0.028 0.000 0.295 1
Sr2 0.090 0.500 0.914 1
Sr3 0.147 0.500 0.464 1
Sr4 0.219 0.000 0.804 1
P1 0.000 0.500 0.500 1
Pb1 0.186 0.000 0.233 1
```



Starting from a structure optimized by DFT (PBE), the powder X-ray diffraction pattern of TePPb4 was simulated for λ = 1.5418 Å (Cu Kα).
Intensities are scaled so that the largest is 100.

Peak list (8 most intense, 2θ from 10° to 80°, in order of falling intensity)
2θ/deg	intensity
26.16	100
38.17	41
33.01	22
33.93	21
33.64	17
15.66	16
48.25	15
33.42	15

```
data_TePPb4
_cell_length_a 5.977
_cell_length_b 22.634
_cell_length_c 6.090
_cell_angle_alpha 90.00
_cell_angle_beta 90.00
_cell_angle_gamma 90.00
_space_group_name_H-M_alt 'P b c n'
_space_group_IT_number 60
loop_
_space_group_symop_operation_xyz
'x,y,z'
'-x,-y,-z'
'-x+1/2,-y+1/2,z+1/2'
'x+1/2,y+1/2,-z+1/2'
'x+1/2,-y+1/2,-z'
'-x+1/2,y+1/2,z'
'-x,y,-z+1/2'
'x,-y,z+1/2'
loop_
_atom_site_label
_atom_site_fract_x
_atom_site_fract_y
_atom_site_fract_z
_atom_site_occupancy
Te1 0.000 0.124 0.250 1
P1 0.000 0.371 0.250 1
Pb1 0.171 0.289 0.537 1
Pb2 0.237 0.042 0.587 1
```



Starting from a structure optimized by DFT (PBE), the powder X-ray diffraction pattern of TeP2Pb4 was simulated for λ = 1.5418 Å (Cu Kα).
Intensities are scaled so that the largest is 100.

Peak list (8 most intense, 2θ from 10° to 80°, in order of falling intensity)
2θ/deg	intensity
26.29	100
27.43	61
33.63	49
23.84	32
42.63	25
43.45	25
49.43	19
12.85	18

```
data_TeP2Pb4
_cell_length_a 7.466
_cell_length_b 17.907
_cell_length_c 7.225
_cell_angle_alpha 90.00
_cell_angle_beta 90.00
_cell_angle_gamma 90.00
_space_group_name_H-M_alt 'P b c n'
_space_group_IT_number 60
loop_
_space_group_symop_operation_xyz
'x,y,z'
'-x,-y,-z'
'-x+1/2,-y+1/2,z+1/2'
'x+1/2,y+1/2,-z+1/2'
'x+1/2,-y+1/2,-z'
'-x+1/2,y+1/2,z'
'-x,y,-z+1/2'
'x,-y,z+1/2'
loop_
_atom_site_label
_atom_site_fract_x
_atom_site_fract_y
_atom_site_fract_z
_atom_site_occupancy
Te1 0.000 0.068 0.250 1
P1 0.000 0.187 0.750 1
P2 0.000 0.315 0.250 1
Pb1 0.232 0.203 0.064 1
Pb2 0.236 0.082 0.623 1
```



Number 8 is which compound? TeP2Pb4



Number 3 is which compound? Si2P3Pb2